Diffraction record for YHfF7. The powder X-ray diffraction pattern is simulated, not measured: it uses DFT lattice parameters and positions (PBE) and CuKα.
Lines closer than 0.1° are merged.

Crystal structure
```
YHfF7
1.0
6.1042 0.0000 0.0000
0.0000 5.7051 0.0000
-1.7229 0.0000 8.0895
Y Hf F
2 2 14
direct
0.1563 0.0000 0.1855 Y
0.8437 0.5000 0.8145 Y
0.3110 0.9896 0.7236 Hf
0.6890 0.4896 0.2764 Hf
0.0453 0.2012 0.7126 F
0.0469 0.3086 0.0226 F
0.1219 0.6974 0.7174 F
0.2556 0.9933 0.4773 F
0.3614 0.9862 0.9714 F
0.4280 0.2711 0.2695 F
0.4614 0.7507 0.2598 F
0.5386 0.2507 0.7402 F
0.5720 0.7711 0.7305 F
0.6386 0.4862 0.0286 F
0.7444 0.4933 0.5227 F
0.8781 0.1974 0.2826 F
0.9531 0.8086 0.9774 F
0.9547 0.7012 0.2874 F
```

Principal peaks in the range 10° ≤ 2θ ≤ 90°, in order of rising 2θ:
two_theta, d (Å), Rel. int.
19.0, 4.662, 15
21.5, 4.125, 100
22.0, 4.045, 40
22.7, 3.909, 17
28.6, 3.121, 24
43.7, 2.071, 15

---

Diffraction record for CeZr7O16. The powder X-ray diffraction pattern is simulated, not measured: it uses DFT lattice parameters and positions (PBE) and CuKα.
Lines closer than 0.1° are merged.

Crystal structure
```
CeZr7O16
1.0
7.3530 0.0000 0.0000
0.0000 7.3530 0.0000
0.0000 0.0000 5.3323
Ce Zr O
1 7 16
direct
0.0000 0.0000 0.0000 Ce
0.0000 0.5000 0.0006 Zr
0.2520 0.2520 0.5000 Zr
0.2520 0.7480 0.5000 Zr
0.5000 0.0000 0.9994 Zr
0.5000 0.5000 0.0000 Zr
0.7480 0.2520 0.5000 Zr
0.7480 0.7480 0.5000 Zr
0.0000 0.2485 0.3011 O
0.0000 0.2653 0.7856 O
0.0000 0.7347 0.7856 O
0.0000 0.7515 0.3011 O
0.2449 0.5000 0.1911 O
0.2485 0.0000 0.6989 O
0.2653 0.0000 0.2144 O
0.2675 0.5000 0.6915 O
0.5000 0.2449 0.8089 O
0.5000 0.2675 0.3085 O
0.5000 0.7325 0.3085 O
0.5000 0.7551 0.8089 O
0.7325 0.5000 0.6915 O
0.7347 0.0000 0.2144 O
0.7515 0.0000 0.6989 O
0.7551 0.5000 0.1911 O
```

Principal peaks in the range 10° ≤ 2θ ≤ 90°, in order of rising 2θ:
two_theta, d (Å), Rel. int.
29.5, 3.027, 100
34.5, 2.600, 14
48.9, 1.861, 36
49.6, 1.838, 19
57.6, 1.600, 14
58.8, 1.571, 27

---

Diffraction record for ZrS3. The powder X-ray diffraction pattern is simulated, not measured: it uses DFT lattice parameters and positions (PBE) and CuKα.
Lines closer than 0.1° are merged.

Crystal structure
```
ZrS3
1.0
5.2020 0.0000 0.0000
0.0000 3.6586 0.0000
-1.1426 0.0000 9.6834
Zr S
2 6
direct
0.2184 0.2500 0.3567 Zr
0.7816 0.7500 0.6433 Zr
0.0163 0.2500 0.8072 S
0.2611 0.7500 0.5506 S
0.3827 0.7500 0.1938 S
0.6173 0.2500 0.8062 S
0.7389 0.2500 0.4494 S
0.9837 0.7500 0.1928 S
```

Principal peaks in the range 10° ≤ 2θ ≤ 90°, in order of rising 2θ:
two_theta, d (Å), Rel. int.
18.5, 4.797, 41
20.4, 4.351, 43
30.6, 2.919, 100
37.1, 2.422, 42
42.6, 2.121, 26
44.8, 2.021, 29

---

Diffraction record for LiSn2P3O10. The powder X-ray diffraction pattern is simulated, not measured: it uses DFT lattice parameters and positions (PBE) and CuKα.
Lines closer than 0.1° are merged.

Crystal structure
```
LiSn2P3O10
1.0
6.1091 -5.1083 0.0000
6.1091 5.1083 0.0000
-4.9398 0.0000 8.5198
Li Sn P O
2 4 6 20
direct
0.2238 0.7762 0.7500 Li
0.7762 0.2238 0.2500 Li
0.2570 0.3876 0.9370 Sn
0.3876 0.2570 0.4370 Sn
0.6124 0.7430 0.5630 Sn
0.7430 0.6124 0.0630 Sn
0.1084 0.8916 0.2500 P
0.1317 0.5890 0.3722 P
0.4110 0.8683 0.1278 P
0.5890 0.1317 0.8722 P
0.8683 0.4110 0.6278 P
0.8916 0.1084 0.7500 P
0.0699 0.4400 0.7268 O
0.0907 0.1443 0.8492 O
0.1443 0.0907 0.3492 O
0.1853 0.7760 0.3631 O
0.1871 0.6282 0.5457 O
0.2240 0.8147 0.1369 O
0.2522 0.4326 0.2989 O
0.3718 0.8129 0.9543 O
0.4326 0.2522 0.7989 O
0.4400 0.0699 0.2268 O
0.5600 0.9301 0.7732 O
0.5674 0.7478 0.2011 O
0.6282 0.1871 0.0457 O
0.7478 0.5674 0.7011 O
0.7760 0.1853 0.8631 O
0.8129 0.3718 0.4543 O
0.8147 0.2240 0.6369 O
0.8557 0.9093 0.6508 O
0.9093 0.8557 0.1508 O
0.9301 0.5600 0.2732 O
```

Principal peaks in the range 10° ≤ 2θ ≤ 90°, in order of rising 2θ:
two_theta, d (Å), Rel. int.
12.9, 6.873, 21
20.1, 4.413, 100
26.8, 3.331, 49
27.9, 3.197, 30
29.5, 3.026, 26
31.0, 2.886, 29

---

Diffraction record for Zr2AlCu2. The powder X-ray diffraction pattern is simulated, not measured: it uses DFT lattice parameters and positions (PBE) and CuKα.
Lines closer than 0.1° are merged.

Crystal structure
```
Zr2AlCu2
1.0
6.5602 -2.1313 0.0000
6.5602 2.1313 0.0000
-0.0117 0.0000 3.0432
Zr Al Cu
2 1 2
direct
0.1207 0.1207 0.9998 Zr
0.8793 0.8793 0.0002 Zr
0.5000 0.5000 0.5000 Al
0.3030 0.3030 0.5002 Cu
0.6970 0.6970 0.4998 Cu
```

Principal peaks in the range 10° ≤ 2θ ≤ 90°, in order of rising 2θ:
two_theta, d (Å), Rel. int.
13.5, 6.560, 28
36.9, 2.434, 87
40.4, 2.235, 100
41.9, 2.158, 31
42.0, 2.152, 31
42.4, 2.131, 42

---

Diffraction record for Rb2Li5B7O14. The powder X-ray diffraction pattern is simulated, not measured: it uses DFT lattice parameters and positions (PBE) and CuKα.
Lines closer than 0.1° are merged.

Crystal structure
```
Rb2Li5B7O14
1.0
20.8501 0.0000 0.0000
0.0000 6.8230 2.2267
0.0000 -6.8230 2.2267
Rb Li B O
4 10 14 28
direct
0.1558 0.1871 0.8129 Rb
0.3442 0.1871 0.8129 Rb
0.6558 0.8129 0.1871 Rb
0.8442 0.8129 0.1871 Rb
0.0118 0.0691 0.9009 Li
0.0644 0.4642 0.4979 Li
0.2500 0.8316 0.1730 Li
0.4356 0.4642 0.4979 Li
0.4882 0.0691 0.9009 Li
0.5118 0.9009 0.0691 Li
0.5644 0.4979 0.4642 Li
0.7500 0.1730 0.8316 Li
0.9356 0.4979 0.4642 Li
0.9882 0.9009 0.0691 Li
0.0069 0.7076 0.3075 B
0.1264 0.9345 0.0832 B
0.1894 0.4352 0.5761 B
0.2500 0.5908 0.4103 B
0.3106 0.4352 0.5761 B
0.3736 0.9345 0.0832 B
0.4931 0.7076 0.3075 B
0.5069 0.3075 0.7076 B
0.6264 0.0832 0.9345 B
0.6894 0.5761 0.4352 B
0.7500 0.4103 0.5908 B
0.8106 0.5761 0.4352 B
0.8736 0.0832 0.9345 B
0.9931 0.3075 0.7076 B
0.0084 0.0426 0.6046 O
0.0198 0.5243 0.3043 O
0.0731 0.8993 0.9472 O
0.1340 0.2131 0.4142 O
0.1747 0.7111 0.9235 O
0.1920 0.5398 0.4631 O
0.2500 0.2945 0.5250 O
0.2500 0.6868 0.3088 O
0.3080 0.5398 0.4631 O
0.3253 0.7111 0.9235 O
0.3660 0.2131 0.4142 O
0.4269 0.8993 0.9472 O
0.4802 0.5243 0.3043 O
0.4916 0.0426 0.6046 O
0.5084 0.6046 0.0426 O
0.5198 0.3043 0.5243 O
0.5731 0.9472 0.8993 O
0.6340 0.4142 0.2131 O
0.6747 0.9235 0.7111 O
0.6920 0.4631 0.5398 O
0.7500 0.3088 0.6868 O
0.7500 0.5250 0.2945 O
0.8080 0.4631 0.5398 O
0.8253 0.9235 0.7111 O
0.8660 0.4142 0.2131 O
0.9269 0.9472 0.8993 O
0.9802 0.3043 0.5243 O
0.9916 0.6046 0.0426 O
```

Principal peaks in the range 10° ≤ 2θ ≤ 90°, in order of rising 2θ:
two_theta, d (Å), Rel. int.
21.4, 4.149, 79
25.6, 3.475, 65
26.5, 3.367, 83
27.1, 3.286, 46
30.1, 2.971, 100
38.4, 2.347, 59

---

Diffraction record for NaHoS2. The powder X-ray diffraction pattern is simulated, not measured: it uses DFT lattice parameters and positions (PBE) and CuKα.
Lines closer than 0.1° are merged.

Crystal structure
```
NaHoS2
1.0
1.9842 1.1456 6.6480
-1.9842 1.1456 6.6480
0.0000 -2.2912 6.6480
Na Ho S
1 1 2
direct
0.0000 0.0000 0.0000 Na
0.5000 0.5000 0.5000 Ho
0.2424 0.2424 0.2424 S
0.7576 0.7576 0.7576 S
```

Principal peaks in the range 10° ≤ 2θ ≤ 90°, in order of rising 2θ:
two_theta, d (Å), Rel. int.
13.3, 6.648, 88
26.3, 3.387, 45
27.5, 3.249, 32
31.6, 2.830, 100
44.9, 2.018, 36
45.7, 1.984, 35